Diffraction record for KEr4NpS8. The XRD peak list is theoretical, not measured: it uses the PBE geometry in Alexandria and Cu Kα, 1.54184 Å.

Atomic structure:
Cell: 8.225 8.225 8.225 Å, 59.37 59.37 59.37°
Fractional positions:
1 K 0.000 0.000 0.000
2 Er 0.114 0.631 0.631
3 Er 0.251 0.251 0.251
4 Er 0.631 0.114 0.631
5 Er 0.631 0.631 0.114
6 Np 0.629 0.629 0.629
7 S 0.379 0.379 0.856
8 S 0.379 0.856 0.379
9 S 0.383 0.383 0.383
10 S 0.427 0.861 0.861
11 S 0.856 0.379 0.379
12 S 0.859 0.859 0.859
13 S 0.861 0.427 0.861
14 S 0.861 0.861 0.427

Main lines, sorted by position (10° ≤ 2θ ≤ 90°):
Position (°2θ)	I (rel.)
13.3	49
25.4	39
25.6	100
26.8	27
30.9	50
40.5	30
40.6	24
44.0	42
44.5	41
61.8	19